1.
The following is a computed powder diffractogram of NdLu2Al7Ag2. It was derived from a crystal structure in OQMD, relaxed with GGA-PBE, using λ = 1.5418 Å (Cu Kα).

```
data_NdLu2Al7Ag2
_chemical_formula_sum 'Nd3 Lu6 Al21 Ag6'
_cell_length_a 5.5394
_cell_length_b 5.5394
_cell_length_c 26.2697
_cell_angle_alpha 90.00
_cell_angle_beta 90.00
_cell_angle_gamma 120.00
_symmetry_space_group_name_H-M 'R -3 m'
_symmetry_Int_Tables_number 166
_symmetry_space_group_name_Hall '-R 3 2"'
loop_
_atom_site_label
_atom_site_type_symbol
_atom_site_fract_x
_atom_site_fract_y
_atom_site_fract_z
_atom_site_occupancy
Nd1 Nd 0.0000 0.0000 0.0000 1
Lu1 Lu 0.0000 0.0000 0.1425 1
Al1 Al 0.0000 0.0000 0.5000 1
Al2 Al 0.0080 0.5040 0.9150 1
Ag1 Ag 0.0000 0.0000 0.3355 1
```

Peak list (10 most intense, 2θ from 5° to 70°, in order of rising 2θ)
2θ/deg, intensity, hkl
18.8, 20, 1 0 1
20.3, 38, 0 0 6
23.0, 23, 1 0 4
30.2, 30, 1 0 7
32.3, 87, 1 1 0
33.1, 19, 0 1 8
38.5, 100, 1 1 6
61.8, 24, 0 3 6
62.8, 17, 1 1 15
67.7, 17, 2 2 0

=====

2.
The following is a computed powder diffractogram of CsTbFeS3. It was derived from a crystal structure in OQMD, relaxed with GGA-PBE, using λ = 1.5418 Å (Cu Kα).

```
data_CsTbFeS3
_chemical_formula_sum 'Cs4 Tb4 Fe4 S12'
_cell_length_a 15.617
_cell_length_b 4.014
_cell_length_c 10.743
_cell_angle_alpha 90.00
_cell_angle_beta 90.00
_cell_angle_gamma 90.00
_symmetry_space_group_name_H-M 'P n m a'
_symmetry_Int_Tables_number 62
loop_
_symmetry_equiv_pos_as_xyz
'x,y,z'
'-x,-y,-z'
'-x+1/2,-y,z+1/2'
'x+1/2,y,-z+1/2'
'x+1/2,-y+1/2,-z+1/2'
'-x+1/2,y+1/2,z+1/2'
'-x,y+1/2,-z'
'x,-y+1/2,z'
loop_
_atom_site_label
_atom_site_type_symbol
_atom_site_fract_x
_atom_site_fract_y
_atom_site_fract_z
_atom_site_occupancy
Cs1 Cs 0.236 0.250 0.025 1
Tb1 Tb 0.014 0.250 0.344 1
Fe1 Fe 0.011 0.750 0.087 1
S1 S 0.071 0.750 0.888 1
S2 S 0.089 0.250 0.571 1
S3 S 0.114 0.750 0.238 1
```

Peak list (10 most intense, 2θ from 5° to 70°, in order of rising 2θ)
2θ/deg, intensity, hkl
11.3, 85, 2 0 0
20.1, 57, 2 0 2
22.8, 70, 4 0 0
28.3, 63, 1 1 2
29.3, 100, 3 1 1
32.7, 62, 3 1 2
33.1, 34, 4 1 1
35.3, 46, 2 0 4
40.3, 38, 5 1 2
49.5, 41, 2 1 5

=====

3.
The following is a computed powder diffractogram of LaYHg6. It was derived from a crystal structure in OQMD, relaxed with GGA-PBE, using λ = 1.5418 Å (Cu Kα).

```
data_LaYHg6
_chemical_formula_sum 'La1 Y1 Hg6'
_cell_length_a 6.6825
_cell_length_b 6.6825
_cell_length_c 5.0548
_cell_angle_alpha 90.00
_cell_angle_beta 90.00
_cell_angle_gamma 120.00
_symmetry_space_group_name_H-M 'P -6 m 2'
_symmetry_Int_Tables_number 187
_symmetry_space_group_name_Hall 'P -6 2'
loop_
_atom_site_label
_atom_site_type_symbol
_atom_site_fract_x
_atom_site_fract_y
_atom_site_fract_z
_atom_site_occupancy
La1 La 0.0000 0.0000 0.0000 1
Y1 Y 0.3333 0.6667 0.5000 1
Hg1 Hg 0.0003 0.5002 0.0000 1
Hg2 Hg 0.3439 0.1720 0.5000 1
```

Peak list (10 most intense, 2θ from 5° to 70°, in order of rising 2θ)
2θ/deg, intensity, hkl
23.4, 4, 1 0 1
30.9, 24, 2 0 0
35.5, 23, 0 0 2
35.8, 100, 2 0 1
47.8, 15, 2 0 2
55.0, 20, 2 2 0
63.9, 19, 2 0 3
64.4, 3, 4 0 0
67.2, 22, 2 2 2
67.3, 16, 4 0 1

=====

4.
The following is a computed powder diffractogram of Zn2Cu3Ag3. It was derived from a crystal structure in OQMD, relaxed with GGA-PBE, using λ = 1.5418 Å (Cu Kα).

```
data_Zn2Cu3Ag3
_chemical_formula_sum 'Zn2 Cu3 Ag3'
_cell_length_a 5.5635
_cell_length_b 5.5635
_cell_length_c 4.4237
_cell_angle_alpha 90.00
_cell_angle_beta 90.00
_cell_angle_gamma 120.00
_symmetry_space_group_name_H-M 'P -6 m 2'
_symmetry_Int_Tables_number 187
_symmetry_space_group_name_Hall 'P -6 2'
loop_
_atom_site_label
_atom_site_type_symbol
_atom_site_fract_x
_atom_site_fract_y
_atom_site_fract_z
_atom_site_occupancy
Zn1 Zn 0.0000 0.0000 0.0000 1
Zn2 Zn 0.3333 0.6667 0.5000 1
Cu1 Cu 0.0150 0.5075 0.0000 1
Ag1 Ag 0.3354 0.1677 0.5000 1
```

Peak list (10 most intense, 2θ from 5° to 70°, in order of rising 2θ)
2θ/deg, intensity, hkl
18.4, 1, 1 0 0
20.1, 6, 0 0 1
27.4, 3, 1 0 1
37.3, 27, 2 0 0
38.2, 1, 1 1 1
40.8, 25, 0 0 2
42.7, 100, 2 0 1
50.1, 1, 2 1 0
56.5, 15, 2 0 2
67.3, 16, 2 2 0

=====

5.
The following is a computed powder diffractogram of Nd2TmMg4Tl2. It was derived from a crystal structure in OQMD, relaxed with GGA-PBE, using λ = 1.5418 Å (Cu Kα).

```
data_Nd2TmMg4Tl2
_chemical_formula_sum 'Nd4 Tm2 Mg8 Tl4'
_cell_length_a 4.725
_cell_length_b 13.122
_cell_length_c 7.740
_cell_angle_alpha 90.00
_cell_angle_beta 90.00
_cell_angle_gamma 90.00
_symmetry_space_group_name_H-M 'A m m 2'
_symmetry_Int_Tables_number 38
loop_
_symmetry_equiv_pos_as_xyz
'x,y,z'
'-x,-y,z'
'-x,y,z'
'x,-y,z'
'x,y+1/2,z+1/2'
'-x,-y+1/2,z+1/2'
'-x,y+1/2,z+1/2'
'x,-y+1/2,z+1/2'
loop_
_atom_site_label
_atom_site_type_symbol
_atom_site_fract_x
_atom_site_fract_y
_atom_site_fract_z
_atom_site_occupancy
Nd1 Nd 0.000 0.215 0.000 1
Tm1 Tm 0.000 0.000 0.651 1
Mg1 Mg 0.000 0.000 0.228 1
Mg2 Mg 0.500 0.000 0.978 1
Mg3 Mg 0.500 0.122 0.339 1
Tl1 Tl 0.500 0.163 0.714 1
```

Peak list (10 most intense, 2θ from 5° to 70°, in order of rising 2θ)
2θ/deg, intensity, hkl
13.3, 75, 0 1 1
13.5, 21, 0 2 0
23.4, 20, 0 3 1
29.8, 44, 1 0 2
30.1, 100, 1 3 1
32.9, 71, 1 2 2
33.2, 41, 1 4 0
38.1, 32, 2 0 0
40.6, 17, 0 3 3
45.1, 17, 1 3 3

=====

6.
The following is a computed powder diffractogram of U8NiS17. It was derived from a crystal structure in OQMD, relaxed with GGA-PBE, using λ = 1.5418 Å (Cu Kα).

```
data_U8NiS17
_chemical_formula_sum 'U16 Ni2 S34'
_cell_length_a 13.144
_cell_length_b 8.240
_cell_length_c 10.254
_cell_angle_alpha 90.00
_cell_angle_beta 101.76
_cell_angle_gamma 90.00
_symmetry_space_group_name_H-M 'C 1 2/m 1'
_symmetry_Int_Tables_number 12
loop_
_symmetry_equiv_pos_as_xyz
'x,y,z'
'-x,-y,-z'
'-x,y,-z'
'x,-y,z'
'x+1/2,y+1/2,z'
'-x+1/2,-y+1/2,-z'
'-x+1/2,y+1/2,-z'
'x+1/2,-y+1/2,z'
loop_
_atom_site_label
_atom_site_type_symbol
_atom_site_fract_x
_atom_site_fract_y
_atom_site_fract_z
_atom_site_occupancy
U1 U 0.060 0.242 0.204 1
U2 U 0.184 0.500 0.518 1
U3 U 0.202 0.000 0.953 1
Ni1 Ni 0.000 0.000 0.500 1
S1 S 0.000 0.000 0.000 1
S2 S 0.021 0.500 0.670 1
S3 S 0.055 0.000 0.723 1
S4 S 0.126 0.307 0.964 1
S5 S 0.134 0.190 0.470 1
S6 S 0.200 0.500 0.257 1
S7 S 0.214 0.000 0.220 1
```

Peak list (10 most intense, 2θ from 5° to 70°, in order of rising 2θ)
2θ/deg, intensity, hkl
14.8, 45, 2 0 -1
20.1, 43, 2 0 -2
24.6, 58, 2 0 2
25.7, 100, 2 2 0
26.2, 67, 2 2 -1
27.4, 62, 2 0 -3
28.0, 85, 0 2 2
39.0, 46, 3 3 -1
41.0, 54, 4 2 -3
44.0, 39, 0 4 0

=====

7.
The following is a computed powder diffractogram of Tl2HgO2. It was derived from a crystal structure in OQMD, relaxed with GGA-PBE, using λ = 1.5418 Å (Cu Kα).

```
data_Tl2HgO2
_chemical_formula_sum 'Tl4 Hg2 O4'
_cell_length_a 3.959
_cell_length_b 3.959
_cell_length_c 14.184
_cell_angle_alpha 90.00
_cell_angle_beta 90.00
_cell_angle_gamma 90.00
_symmetry_space_group_name_H-M 'I 4/m m m'
_symmetry_Int_Tables_number 139
_symmetry_space_group_name_Hall '-I 4 2'
loop_
_atom_site_label
_atom_site_type_symbol
_atom_site_fract_x
_atom_site_fract_y
_atom_site_fract_z
_atom_site_occupancy
Tl1 Tl 0.000 0.000 0.169 1
Hg1 Hg 0.000 0.000 0.500 1
O1 O 0.000 0.000 0.358 1
```

Peak list (9 most intense, 2θ from 5° to 70°, in order of rising 2θ)
2θ/deg, intensity, hkl
29.4, 100, 1 0 3
32.0, 50, 1 1 0
38.1, 15, 0 0 6
45.8, 19, 2 0 0
50.5, 27, 1 1 6
55.4, 36, 2 1 3
61.1, 15, 2 0 6
63.5, 13, 1 0 9
66.8, 6, 2 2 0

=====

8.
The following is a computed powder diffractogram of NdTm2As3. It was derived from a crystal structure in OQMD, relaxed with GGA-PBE, using λ = 1.5418 Å (Cu Kα).

```
data_NdTm2As3
_chemical_formula_sum 'Nd1 Tm2 As3'
_cell_length_a 4.1318
_cell_length_b 4.1318
_cell_length_c 10.1069
_cell_angle_alpha 90.00
_cell_angle_beta 90.00
_cell_angle_gamma 120.00
_symmetry_space_group_name_H-M 'P -3 m 1'
_symmetry_Int_Tables_number 164
_symmetry_space_group_name_Hall '-P 3 2"'
loop_
_atom_site_label
_atom_site_type_symbol
_atom_site_fract_x
_atom_site_fract_y
_atom_site_fract_z
_atom_site_occupancy
Nd1 Nd 0.0000 0.0000 0.0000 1
Tm1 Tm 0.3333 0.6667 0.3386 1
As1 As 0.0000 0.0000 0.5000 1
As2 As 0.3333 0.6667 0.8218 1
```

Peak list (8 most intense, 2θ from 5° to 70°, in order of rising 2θ)
2θ/deg, intensity, hkl
8.7, 2, 0 0 1
26.4, 23, 0 0 3
30.6, 100, 1 0 2
36.6, 1, 1 0 3
43.8, 74, 1 1 0
51.9, 12, 1 0 5
54.4, 26, 0 2 2
63.7, 12, 2 0 4

=====

9.
The following is a computed powder diffractogram of ZnPdC4N4. It was derived from a crystal structure in OQMD, relaxed with GGA-PBE, using λ = 1.5418 Å (Cu Kα).

```
data_ZnPdC4N4
_chemical_formula_sum 'Zn2 Pd2 C8 N8'
_cell_length_a 5.300
_cell_length_b 5.300
_cell_length_c 13.620
_cell_angle_alpha 90.00
_cell_angle_beta 90.00
_cell_angle_gamma 90.00
_symmetry_space_group_name_H-M 'P 42/m c m'
_symmetry_Int_Tables_number 132
_symmetry_space_group_name_Hall '-P 4c 2c'
loop_
_atom_site_label
_atom_site_type_symbol
_atom_site_fract_x
_atom_site_fract_y
_atom_site_fract_z
_atom_site_occupancy
Zn1 Zn 0.000 0.000 0.250 1
Pd1 Pd 0.500 0.500 0.000 1
C1 C 0.315 0.315 0.103 1
N1 N 0.205 0.205 0.163 1
```

Peak list (10 most intense, 2θ from 5° to 70°, in order of rising 2θ)
2θ/deg, intensity, hkl
21.2, 100, 1 0 2
23.7, 38, 1 1 0
24.6, 7, 1 1 1
35.6, 21, 1 1 4
40.3, 29, 2 1 2
43.3, 30, 2 0 4
48.6, 8, 2 2 0
56.1, 18, 2 1 6
61.7, 10, 3 1 4
64.9, 9, 3 2 2

=====

10.
The following is a computed powder diffractogram of DyZrS2Br2. It was derived from a crystal structure in OQMD, relaxed with GGA-PBE, using λ = 1.5418 Å (Cu Kα).

```
data_DyZrS2Br2
_chemical_formula_sum 'Dy1 Zr1 S2 Br2'
_cell_length_a 3.853
_cell_length_b 5.268
_cell_length_c 8.810
_cell_angle_alpha 90.00
_cell_angle_beta 90.00
_cell_angle_gamma 90.00
_symmetry_space_group_name_H-M 'P m m 2'
_symmetry_Int_Tables_number 25
loop_
_symmetry_equiv_pos_as_xyz
'x,y,z'
'-x,-y,z'
'-x,y,z'
'x,-y,z'
loop_
_atom_site_label
_atom_site_type_symbol
_atom_site_fract_x
_atom_site_fract_y
_atom_site_fract_z
_atom_site_occupancy
Dy1 Dy 0.000 0.000 0.000 1
Zr1 Zr 0.500 0.500 0.226 1
S1 S 0.000 0.500 0.027 1
S2 S 0.500 0.000 0.223 1
Br1 Br 0.000 0.500 0.448 1
Br2 Br 0.500 0.000 0.768 1
```

Peak list (10 most intense, 2θ from 5° to 70°, in order of rising 2θ)
2θ/deg, intensity, hkl
10.0, 87, 0 0 1
19.6, 100, 0 1 1
30.5, 51, 1 1 1
30.8, 97, 1 0 2
34.0, 41, 0 2 0
38.5, 16, 1 0 3
41.0, 16, 0 0 4
42.3, 30, 1 1 3
46.6, 60, 1 2 2
47.2, 16, 2 0 0

=====

11.
The following is a computed powder diffractogram of Cs2SmTc4. It was derived from a crystal structure in OQMD, relaxed with GGA-PBE, using λ = 1.5418 Å (Cu Kα).

```
data_Cs2SmTc4
_chemical_formula_sum 'Cs2 Sm1 Tc4'
_cell_length_a 7.100
_cell_length_b 7.100
_cell_length_c 3.302
_cell_angle_alpha 90.00
_cell_angle_beta 90.00
_cell_angle_gamma 90.00
_symmetry_space_group_name_H-M 'P -4 2 m'
_symmetry_Int_Tables_number 111
loop_
_symmetry_equiv_pos_as_xyz
'x,y,z'
'y,-x,-z'
'-x,-y,z'
'-y,x,-z'
'x,-y,-z'
'y,x,z'
'-x,y,-z'
'-y,-x,z'
loop_
_atom_site_label
_atom_site_type_symbol
_atom_site_fract_x
_atom_site_fract_y
_atom_site_fract_z
_atom_site_occupancy
Cs1 Cs 0.000 0.500 0.000 1
Sm1 Sm 0.000 0.000 0.000 1
Tc1 Tc 0.359 0.359 0.301 1
```

Peak list (10 most intense, 2θ from 5° to 70°, in order of rising 2θ)
2θ/deg, intensity, hkl
12.5, 46, 1 0 0
25.1, 80, 2 0 0
29.8, 51, 1 0 1
32.5, 61, 1 1 1
35.8, 53, 2 2 0
37.2, 100, 2 0 1
38.0, 64, 3 0 0
39.4, 92, 2 1 1
40.2, 48, 3 1 0
45.4, 89, 2 2 1

=====

12.
The following is a computed powder diffractogram of Hf2Ta. It was derived from a crystal structure in OQMD, relaxed with GGA-PBE, using λ = 1.5418 Å (Cu Kα).

```
data_Hf2Ta
_chemical_formula_sum 'Hf4 Ta2'
_cell_length_a 3.386
_cell_length_b 3.386
_cell_length_c 10.879
_cell_angle_alpha 90.00
_cell_angle_beta 90.00
_cell_angle_gamma 90.00
_symmetry_space_group_name_H-M 'I 4/m m m'
_symmetry_Int_Tables_number 139
_symmetry_space_group_name_Hall '-I 4 2'
loop_
_atom_site_label
_atom_site_type_symbol
_atom_site_fract_x
_atom_site_fract_y
_atom_site_fract_z
_atom_site_occupancy
Hf1 Hf 0.000 0.000 0.154 1
Ta1 Ta 0.000 0.000 0.500 1
```

Peak list (10 most intense, 2θ from 5° to 70°, in order of rising 2θ)
2θ/deg, intensity, hkl
16.3, 2, 0 0 2
36.3, 100, 1 0 3
37.6, 47, 1 1 0
49.8, 3, 1 0 5
50.3, 9, 0 0 6
50.8, 1, 1 1 4
54.2, 17, 2 0 0
64.5, 17, 1 1 6
66.2, 1, 1 0 7
67.0, 34, 2 1 3

=====

13.
The following is a computed powder diffractogram of Dy2Ho2CIBr2Cl2. It was derived from a crystal structure in OQMD, relaxed with GGA-PBE, using λ = 1.5418 Å (Cu Kα).

```
data_Dy2Ho2CIBr2Cl2
_chemical_formula_sum 'Dy4 Ho4 C2 I2 Br4 Cl4'
_cell_length_a 17.560
_cell_length_b 3.817
_cell_length_c 8.411
_cell_angle_alpha 90.00
_cell_angle_beta 103.63
_cell_angle_gamma 90.00
_symmetry_space_group_name_H-M 'C 1 2/m 1'
_symmetry_Int_Tables_number 12
loop_
_symmetry_equiv_pos_as_xyz
'x,y,z'
'-x,-y,-z'
'-x,y,-z'
'x,-y,z'
'x+1/2,y+1/2,z'
'-x+1/2,-y+1/2,-z'
'-x+1/2,y+1/2,-z'
'x+1/2,-y+1/2,z'
loop_
_atom_site_label
_atom_site_type_symbol
_atom_site_fract_x
_atom_site_fract_y
_atom_site_fract_z
_atom_site_occupancy
Dy1 Dy 0.140 0.000 0.075 1
Ho1 Ho 0.000 0.500 0.192 1
C1 C 0.000 0.000 0.000 1
I1 I 0.000 0.000 0.500 1
Br1 Br 0.171 0.500 0.838 1
Cl1 Cl 0.160 0.500 0.312 1
```

Peak list (10 most intense, 2θ from 5° to 70°, in order of rising 2θ)
2θ/deg, intensity, hkl
10.4, 48, 2 0 0
10.8, 67, 0 0 1
28.8, 16, 3 1 -1
31.5, 35, 6 0 0
31.6, 100, 1 1 -2
35.0, 21, 5 1 -1
40.0, 27, 6 0 -3
45.2, 21, 5 1 2
45.3, 20, 7 1 -2
47.6, 15, 0 2 0